Diffraction record for Na2CoO3. The X-ray powder pattern is calculated, not measured: it uses a crystal structure in the Materials Project, relaxed with GGA+U and Cu Kα (weighted mean of Kα1 and Kα2).

The 10 most intense peaks (2θ = 10–90°), low angle first:
- 16.48 deg, rel. 67, hkl 0 0 2
- 19.51 deg, rel. 15, hkl 1 1 0
- 33.32 deg, rel. 19, hkl 0 0 4
- 35.48 deg, rel. 43, hkl 2 0 -2
- 40.35 deg, rel. 100, hkl 1 3 -3
- 41.03 deg, rel. 47, hkl 2 0 2
- 56.86 deg, rel. 14, hkl 2 0 -6
- 57.51 deg, rel. 27, hkl 1 3 5
- 59.88 deg, rel. 13, hkl 0 6 0
- 60.28 deg, rel. 24, hkl 3 3 -1

Structure:
Cell lengths 5.309, 9.268, 10.932 Å; angles 90.00, 100.31, 90.00 degrees
Space group C2/c (No. 15)
Symmetry-distinct sites (fractional):
Na (0.000, 0.086, 0.250) [4 per cell]
Na (0.237, 0.079, 0.000) [8 per cell]
Na (0.250, 0.250, 0.500) [4 per cell]
Co (0.000, 0.252, 0.750) [4 per cell]
Co (0.000, 0.416, 0.250) [4 per cell]
O (0.082, 0.406, 0.651) [8 per cell]
O (0.158, 0.279, 0.150) [8 per cell]
O (0.160, 0.102, 0.649) [8 per cell]

=====

Diffraction record for NaCo3O6. The X-ray powder pattern is calculated, not measured: it uses a crystal structure in the Materials Project, relaxed with GGA+U and Cu Kα (weighted mean of Kα1 and Kα2).

The 10 most intense peaks (2θ = 10–90°), low angle first:
- 15.72 deg, rel. 100, hkl 0 0 1
- 31.74 deg, rel. 9, hkl 0 0 2
- 37.12 deg, rel. 16, hkl 1 3 0
- 38.24 deg, rel. 6, hkl 1 3 -1
- 42.58 deg, rel. 14, hkl 2 0 -2
- 42.74 deg, rel. 27, hkl 1 3 1
- 53.36 deg, rel. 10, hkl 1 3 2
- 57.51 deg, rel. 7, hkl 1 3 -3
- 66.13 deg, rel. 10, hkl 0 6 0
- 68.39 deg, rel. 6, hkl 3 3 -2

Structure:
Cell lengths 4.892, 8.483, 5.879 Å; angles 90.00, 106.48, 90.00 degrees
Space group C2/m (No. 12)
Symmetry-distinct sites (fractional):
Na (0.000, 0.000, 0.000) [2 per cell]
Co (0.000, 0.167, 0.500) [4 per cell]
Co (0.000, 0.500, 0.500) [2 per cell]
O (0.220, 0.000, 0.672) [4 per cell]
O (0.228, 0.333, 0.672) [8 per cell]

=====

Diffraction record for Na2Co3O6. The X-ray powder pattern is calculated, not measured: it uses a crystal structure in the Materials Project, relaxed with GGA+U and Cu Kα (weighted mean of Kα1 and Kα2).

The 10 most intense peaks (2θ = 10–90°), low angle first:
- 10.91 deg, rel. 54, hkl 1 0 0
- 13.22 deg, rel. 100, hkl 0 1 1
- 19.95 deg, rel. 22, hkl 1 0 2
- 21.92 deg, rel. 91, hkl 2 0 0
- 25.68 deg, rel. 66, hkl 2 1 1
- 26.62 deg, rel. 28, hkl 0 2 2
- 32.28 deg, rel. 30, hkl 0 3 1
- 34.74 deg, rel. 80, hkl 2 2 2
- 35.18 deg, rel. 29, hkl 2 1 3
- 53.58 deg, rel. 33, hkl 0 3 5

Structure:
Cell lengths 8.111, 8.616, 10.645 Å; angles 90.00, 90.00, 90.00 degrees
Space group Amm2 (No. 38)
Symmetry-distinct sites (fractional):
Na (0.000, 0.000, 0.000) [2 per cell]
Na (0.000, 0.220, 0.730) [4 per cell]
Na (0.500, 0.000, 0.399) [2 per cell]
Co (0.212, 0.176, 0.502) [8 per cell]
Co (0.230, 0.000, 0.216) [4 per cell]
O (0.191, 0.000, 0.595) [4 per cell]
O (0.193, 0.153, 0.096) [8 per cell]
O (0.250, 0.155, 0.336) [8 per cell]
O (0.424, 0.000, 0.837) [4 per cell]